Theoretical powder diffraction line list of Sn5GeIr3 for Cu Kα (λ = 1.5418 Å), from a GGA-PBE-relaxed structure.
Intensities are scaled so that the largest is 100.

Structural model:
```
Sn5GeIr3
1.0
5.777 -4.495 0.000
5.777 4.495 0.000
-4.244 0.000 8.477
Sn Ge Ir
10 2 6
direct
0.055 0.055 0.364
0.119 0.534 0.340
0.209 0.791 0.000
0.266 0.266 0.980
0.466 0.881 0.660
0.534 0.119 0.340
0.734 0.734 0.020
0.791 0.209 0.000
0.881 0.466 0.660
0.945 0.945 0.636
0.413 0.413 0.698
0.587 0.587 0.302
0.161 0.161 0.170
0.191 0.191 0.675
0.500 0.500 0.000
0.500 0.500 0.500
0.809 0.809 0.325
0.839 0.839 0.830
```

Peak list (12 most intense, 2θ = 5–70°, in order of rising 2θ)
2θ/deg	I (rel.)
19.75	81
20.30	100
31.15	68
39.88	42
40.00	47
40.12	47
40.33	38
40.70	38
41.27	43
48.81	34
49.86	46
50.17	48

***

Theoretical powder diffraction line list of Ti2NbSb2 for Cu Kα (λ = 1.5418 Å), from a GGA-PBE-relaxed structure.
Intensities are scaled so that the largest is 100.

Structural model:
```
Ti2NbSb2
1.0
7.372 0.000 0.000
0.000 7.372 0.000
0.000 0.000 3.618
Ti Nb Sb
4 2 4
direct
0.149 0.351 0.000
0.351 0.851 0.000
0.649 0.149 0.000
0.851 0.649 0.000
0.000 0.000 0.500
0.500 0.500 0.500
0.149 0.649 0.500
0.351 0.149 0.500
0.649 0.851 0.500
0.851 0.351 0.500
```

Peak list (12 most intense, 2θ = 5–70°, in order of rising 2θ)
2θ/deg	I (rel.)
24.60	31
27.05	21
34.41	7
36.89	100
38.62	53
42.76	6
46.33	25
50.44	14
51.33	6
55.77	7
57.50	9
65.29	21

***

Theoretical powder diffraction line list of GaSiHSN for Cu Kα (λ = 1.5418 Å), from a GGA-PBE-relaxed structure.
Intensities are scaled so that the largest is 100.

Structural model:
```
GaSiHSN
1.0
3.179 0.000 0.000
0.000 1.640 7.237
0.000 -1.640 7.237
Ga Si H S N
1 1 1 1 1
direct
0.000 0.000 0.000
0.500 0.659 0.659
0.500 0.956 0.956
0.500 0.253 0.253
0.000 0.594 0.594
```

Peak list (12 most intense, 2θ = 5–70°, in order of rising 2θ)
2θ/deg	I (rel.)
12.23	78
24.60	36
27.88	18
30.72	100
33.02	77
39.98	40
41.61	25
43.88	13
50.95	39
60.40	23
65.30	21
68.41	16

***

Theoretical powder diffraction line list of Nd2Y7Tm12 for Cu Kα (λ = 1.5418 Å), from a GGA-PBE-relaxed structure.
Intensities are scaled so that the largest is 100.

Structural model:
```
Nd2Y7Tm12
1.0
12.058 0.000 0.000
-6.029 10.443 0.000
0.000 0.000 5.513
Nd Y Tm
2 7 12
direct
0.000 0.000 0.000
0.333 0.667 0.500
0.005 0.178 0.500
0.012 0.494 0.000
0.173 0.995 0.500
0.483 0.988 0.000
0.506 0.517 0.000
0.667 0.333 0.000
0.822 0.827 0.500
0.173 0.816 0.000
0.184 0.357 0.000
0.334 0.179 0.000
0.340 0.338 0.500
0.500 0.172 0.500
0.643 0.827 0.000
0.662 0.001 0.500
0.672 0.500 0.500
0.821 0.156 0.000
0.828 0.328 0.500
0.844 0.666 0.000
0.999 0.660 0.500
```

Peak list (12 most intense, 2θ = 5–70°, in order of rising 2θ)
2θ/deg	I (rel.)
8.47	12
27.80	25
29.63	30
30.37	9
32.48	32
33.89	100
35.00	9
44.54	20
52.58	22
58.85	20
63.18	25
64.04	14

***

Theoretical powder diffraction line list of MgAl9Rh3 for Cu Kα (λ = 1.5418 Å), from a GGA-PBE-relaxed structure.
Intensities are scaled so that the largest is 100.

Structural model:
```
MgAl9Rh3
1.0
2.701 -6.195 0.000
2.701 6.195 0.000
-2.672 0.000 6.191
Mg Al Rh
1 9 3
direct
0.000 0.000 0.000
0.000 0.000 0.500
0.001 0.651 0.665
0.286 0.512 0.783
0.349 0.999 0.335
0.488 0.714 0.217
0.512 0.286 0.783
0.651 0.001 0.665
0.714 0.488 0.217
0.999 0.349 0.335
0.000 0.500 0.000
0.500 0.000 0.000
0.500 0.500 0.500
```

Peak list (12 most intense, 2θ = 5–70°, in order of rising 2θ)
2θ/deg	I (rel.)
14.30	21
19.29	20
20.28	100
28.83	26
34.89	11
39.13	38
39.25	36
41.23	45
44.47	48
44.62	18
46.36	41
58.10	12

***

What did the fifth record say?
Theoretical powder diffraction line list of MgAl9Rh3 for Cu Kα (λ = 1.5418 Å), from a GGA-PBE-relaxed structure.
Intensities are scaled so that the largest is 100.

Structural model:
```
MgAl9Rh3
1.0
2.701 -6.195 0.000
2.701 6.195 0.000
-2.672 0.000 6.191
Mg Al Rh
1 9 3
direct
0.000 0.000 0.000
0.000 0.000 0.500
0.001 0.651 0.665
0.286 0.512 0.783
0.349 0.999 0.335
0.488 0.714 0.217
0.512 0.286 0.783
0.651 0.001 0.665
0.714 0.488 0.217
0.999 0.349 0.335
0.000 0.500 0.000
0.500 0.000 0.000
0.500 0.500 0.500
```

Peak list (12 most intense, 2θ = 5–70°, in order of rising 2θ)
2θ/deg	I (rel.)
14.30	21
19.29	20
20.28	100
28.83	26
34.89	11
39.13	38
39.25	36
41.23	45
44.47	48
44.62	18
46.36	41
58.10	12